[1]
For YHoMg2, a crystal structure in the Materials Project, relaxed with GGA-PBE gives the theoretical powder X-ray diffraction pattern in this record (Cu Kα (weighted mean of Kα1 and Kα2)).
Kinematic intensities with the Lorentz-polarization factor, no thermal factor.

Crystal structure
```
data_YHoMg2
_chemical_formula_sum 'Y4 Ho4 Mg8'
_cell_length_a 7.5922
_cell_length_b 7.5922
_cell_length_c 7.5922
_cell_angle_alpha 90.00
_cell_angle_beta 90.00
_cell_angle_gamma 90.00
_space_group_name_H-M_alt 'F m -3 m'
_space_group_IT_number 225
_space_group_name_Hall '-F 4 2 3'
loop_
_atom_site_label
_atom_site_type_symbol
_atom_site_fract_x
_atom_site_fract_y
_atom_site_fract_z
Y1 Y 0.0000 0.0000 0.0000
Ho1 Ho 0.0000 0.0000 0.5000
Mg1 Mg 0.2500 0.2500 0.2500
```

Largest 10 diffraction maxima, in order of falling intensity, 2θ from 5° to 70°:
Position (°2θ)  d_spacing  I (rel.)  index
33.38  2.684  100  2 2 0
23.43  3.796  54  2 0 0
59.66  1.550  37  4 2 2
54.02  1.698  22  4 2 0
47.93  1.898  18  4 0 0
41.19  2.192  16  2 2 2
20.26  4.383  12  1 1 1
39.36  2.289  7  3 1 1
52.54  1.742  3  3 3 1
63.69  1.461  3  5 1 1

***

[2]
For KAlCl2O, a crystal structure in the Materials Project, relaxed with GGA-PBE gives the theoretical powder X-ray diffraction pattern in this record (Cu Kα (weighted mean of Kα1 and Kα2)).
Kinematic intensities with the Lorentz-polarization factor, no thermal factor.

Crystal structure
```
data_KAlCl2O
_chemical_formula_sum 'K2 Al2 Cl4 O2'
_cell_length_a 6.3831
_cell_length_b 5.8012
_cell_length_c 6.8026
_cell_angle_alpha 90.00
_cell_angle_beta 95.38
_cell_angle_gamma 90.00
_space_group_name_H-M_alt 'P 1 21 1'
_space_group_IT_number 4
_space_group_name_Hall 'P 2yb'
loop_
_atom_site_label
_atom_site_type_symbol
_atom_site_fract_x
_atom_site_fract_y
_atom_site_fract_z
K1 K 0.1009 0.0000 0.2169
Al1 Al 0.4690 0.9897 0.6258
Cl1 Cl 0.1324 0.9971 0.7021
Cl2 Cl 0.3432 0.4976 0.0851
O1 O 0.5003 0.2338 0.4913
```

Largest 10 diffraction maxima, in order of falling intensity, 2θ from 5° to 70°:
Position (°2θ)  d_spacing  I (rel.)  index
23.86  3.729  100  1 1 -1
31.07  2.879  86  1 0 2
32.12  2.787  84  2 1 0
30.83  2.901  75  0 2 0
32.65  2.742  49  1 1 -2
55.61  1.653  41  3 1 2
40.18  2.244  36  2 1 -2
20.15  4.406  35  0 1 1
44.33  2.043  32  1 2 2
20.73  4.284  19  1 1 0

***

Copy entry 1 word for word.
For YHoMg2, a crystal structure in the Materials Project, relaxed with GGA-PBE gives the theoretical powder X-ray diffraction pattern in this record (Cu Kα (weighted mean of Kα1 and Kα2)).
Kinematic intensities with the Lorentz-polarization factor, no thermal factor.

Crystal structure
```
data_YHoMg2
_chemical_formula_sum 'Y4 Ho4 Mg8'
_cell_length_a 7.5922
_cell_length_b 7.5922
_cell_length_c 7.5922
_cell_angle_alpha 90.00
_cell_angle_beta 90.00
_cell_angle_gamma 90.00
_space_group_name_H-M_alt 'F m -3 m'
_space_group_IT_number 225
_space_group_name_Hall '-F 4 2 3'
loop_
_atom_site_label
_atom_site_type_symbol
_atom_site_fract_x
_atom_site_fract_y
_atom_site_fract_z
Y1 Y 0.0000 0.0000 0.0000
Ho1 Ho 0.0000 0.0000 0.5000
Mg1 Mg 0.2500 0.2500 0.2500
```

Largest 10 diffraction maxima, in order of falling intensity, 2θ from 5° to 70°:
Position (°2θ)  d_spacing  I (rel.)  index
33.38  2.684  100  2 2 0
23.43  3.796  54  2 0 0
59.66  1.550  37  4 2 2
54.02  1.698  22  4 2 0
47.93  1.898  18  4 0 0
41.19  2.192  16  2 2 2
20.26  4.383  12  1 1 1
39.36  2.289  7  3 1 1
52.54  1.742  3  3 3 1
63.69  1.461  3  5 1 1

***

Q: What is the formula in the second record?
A: KAlCl2O